No. 1
Structure and theoretical XRD peak list of PrCu10Ni2 (a crystal structure in Alexandria, relaxed with PBE; CuKα).
Kinematic intensities with the Lorentz-polarization factor, no thermal factor.

Peak list (10 most intense, 2θ from 15° to 90°, in order of rising 2θ)
two_theta, d/Å, intensity, (hkl)
29.88, 2.991, 258, 1 3 1
36.76, 2.445, 394, 1 3 3
37.04, 2.427, 168, 2 0 0
42.61, 2.122, 1000, 0 4 4
42.74, 2.116, 449, 1 5 1
42.93, 2.107, 649, 2 2 2
48.00, 1.895, 203, 0 6 2
48.22, 1.887, 354, 2 0 4
70.64, 1.333, 181, 3 5 1
78.19, 1.223, 262, 2 6 6

Cell and atoms:
```
data_PrCu10Ni2
_symmetry_space_group_name_H-M 'F m m m'
_symmetry_Int_Tables_number 69
_symmetry_space_group_name_Hall '-F 2 2'
_cell_length_a 4.8540
_cell_length_b 11.9847
_cell_length_c 12.0260
_cell_angle_alpha 90.00
_cell_angle_beta 90.00
_cell_angle_gamma 90.00
loop_
_atom_site_label
_atom_site_fract_x
_atom_site_fract_y
_atom_site_fract_z
Pr1 0.0000 0.0000 0.0000
Cu1 0.0000 0.1148 0.3866
Cu2 0.0000 0.1797 0.1754
Cu3 0.2500 0.0000 0.2500
Ni1 0.2500 0.2500 0.0000
```

***

No. 2
Structure and theoretical XRD peak list of PrCu6Ni4 (a crystal structure in Alexandria, relaxed with PBE; CuKα).
Kinematic intensities with the Lorentz-polarization factor, no thermal factor.

Peak list (10 most intense, 2θ from 15° to 90°, in order of rising 2θ)
two_theta, d/Å, intensity, (hkl)
20.47, 4.338, 468, 0 0 2
34.25, 2.618, 970, 1 0 3
35.82, 2.507, 1000, 2 0 2
41.56, 2.173, 556, 2 2 0
45.52, 1.993, 950, 3 0 1
46.76, 1.943, 278, 2 2 2
46.85, 1.939, 398, 1 1 4
51.58, 1.772, 536, 2 0 4
63.34, 1.468, 356, 3 2 3
72.10, 1.310, 249, 4 2 2

Cell and atoms:
```
data_PrCu6Ni4
_symmetry_space_group_name_H-M 'I -4 2 m'
_symmetry_Int_Tables_number 121
_symmetry_space_group_name_Hall 'I -4 2'
_cell_length_a 6.1456
_cell_length_b 6.1456
_cell_length_c 8.6674
_cell_angle_alpha 90.00
_cell_angle_beta 90.00
_cell_angle_gamma 90.00
loop_
_atom_site_label
_atom_site_fract_x
_atom_site_fract_y
_atom_site_fract_z
Pr1 0.0000 0.0000 0.0000
Cu1 0.0000 0.5000 0.0000
Cu2 0.1492 0.1492 0.4054
Ni1 0.2160 0.2160 0.6795
```

***

No. 3
Structure and theoretical XRD peak list of Pr12CuNi6 (a crystal structure in Alexandria, relaxed with PBE; CuKα).
Kinematic intensities with the Lorentz-polarization factor, no thermal factor.

Peak list (10 most intense, 2θ from 15° to 90°, in order of rising 2θ)
two_theta, d/Å, intensity, (hkl)
28.07, 3.179, 387, 3 1 0
30.81, 2.902, 351, 2 2 2
33.35, 2.687, 1000, 3 2 1
46.04, 1.971, 201, 5 1 0
53.13, 1.724, 345, 5 0 3
54.79, 1.675, 139, 6 0 0
56.43, 1.631, 319, 5 3 2
65.68, 1.422, 161, 5 4 3
81.19, 1.185, 146, 8 2 2
82.56, 1.169, 161, 7 5 0

Cell and atoms:
```
data_Pr12CuNi6
_symmetry_space_group_name_H-M 'I m -3'
_symmetry_Int_Tables_number 204
_symmetry_space_group_name_Hall '-I 2 2 3'
_cell_length_a 10.0524
_cell_length_b 10.0524
_cell_length_c 10.0524
_cell_angle_alpha 90.00
_cell_angle_beta 90.00
_cell_angle_gamma 90.00
loop_
_atom_site_label
_atom_site_fract_x
_atom_site_fract_y
_atom_site_fract_z
Pr1 0.0000 0.1855 0.3039
Cu1 0.0000 0.0000 0.0000
Ni1 0.0000 0.3776 0.5000
```

***

No. 4
Structure and theoretical XRD peak list of PrCu9Ni3 (a crystal structure in Alexandria, relaxed with PBE; CuKα).
Kinematic intensities with the Lorentz-polarization factor, no thermal factor.

Peak list (10 most intense, 2θ from 15° to 90°, in order of rising 2θ)
two_theta, d/Å, intensity, (hkl)
33.55, 2.671, 98, 0 2 2
36.69, 2.449, 192, 1 3 1
37.06, 2.426, 325, 2 0 -1
42.61, 2.122, 190, 1 1 2
42.77, 2.114, 1000, 0 4 2
42.85, 2.111, 192, 1 5 -1
43.20, 2.094, 507, 2 2 -2
47.91, 1.899, 125, 2 0 1
48.26, 1.886, 255, 2 4 -1
78.99, 1.212, 119, 2 6 -4

Cell and atoms:
```
data_PrCu9Ni3
_symmetry_space_group_name_H-M 'C 1 2/m 1'
_symmetry_Int_Tables_number 12
_symmetry_space_group_name_Hall '-C 2y'
_cell_length_a 4.8584
_cell_length_b 11.9694
_cell_length_c 6.4007
_cell_angle_alpha 90.00
_cell_angle_beta 111.31
_cell_angle_gamma 90.00
loop_
_atom_site_label
_atom_site_fract_x
_atom_site_fract_y
_atom_site_fract_z
Pr1 0.0000 0.0000 0.0000
Cu1 0.0000 0.5000 0.5000
Cu2 0.1131 0.3856 0.2268
Cu3 0.1648 0.1780 0.3520
Ni1 0.0000 0.0000 0.5000
Ni2 0.2500 0.2500 0.0000
```

***

No. 5
Structure and theoretical XRD peak list of Pr2Cu3Ni12Pt (a crystal structure in Alexandria, relaxed with PBE; CuKα).
Kinematic intensities with the Lorentz-polarization factor, no thermal factor.

Peak list (10 most intense, 2θ from 15° to 90°, in order of rising 2θ)
two_theta, d/Å, intensity, (hkl)
23.81, 3.738, 499, 0 1 5
34.43, 2.605, 688, 0 1 11
36.23, 2.479, 880, 1 1 3
38.62, 2.331, 476, 1 1 6
41.02, 2.200, 447, 0 1 14
41.44, 2.179, 272, 2 0 2
42.38, 2.133, 492, 0 2 4
46.10, 1.969, 1000, 2 0 8
48.73, 1.869, 422, 0 2 10
74.91, 1.268, 362, 2 2 0

Cell and atoms:
```
data_Pr2Cu3Ni12Pt
_symmetry_space_group_name_H-M 'R -3 m'
_symmetry_Int_Tables_number 166
_symmetry_space_group_name_Hall '-R 3 2"'
_cell_length_a 5.0707
_cell_length_b 5.0707
_cell_length_c 35.5957
_cell_angle_alpha 90.00
_cell_angle_beta 90.00
_cell_angle_gamma 120.00
loop_
_atom_site_label
_atom_site_fract_x
_atom_site_fract_y
_atom_site_fract_z
Pr1 0.0000 0.0000 0.1405
Cu1 0.0000 0.5000 0.0000
Ni1 0.0105 0.5053 0.1048
Ni2 0.0163 0.5082 0.6130
Pt1 0.0000 0.0000 0.5000
```

***

No. 6
Structure and theoretical XRD peak list of TbPrCuNi (a crystal structure in Alexandria, relaxed with PBE; CuKα).
Kinematic intensities with the Lorentz-polarization factor, no thermal factor.

Peak list (10 most intense, 2θ from 15° to 90°, in order of rising 2θ)
two_theta, d/Å, intensity, (hkl)
26.27, 3.392, 372, 1 0 2
32.06, 2.792, 1000, 1 1 1
34.22, 2.621, 234, 0 0 4
34.81, 2.577, 428, 0 1 3
39.92, 2.258, 186, 1 0 4
40.48, 2.228, 803, 2 0 0
47.66, 1.908, 188, 0 2 0
54.04, 1.697, 213, 2 0 4
54.48, 1.684, 236, 2 1 3
64.31, 1.448, 150, 2 2 0

Cell and atoms:
```
data_TbPrCuNi
_symmetry_space_group_name_H-M 'A m m 2'
_symmetry_Int_Tables_number 38
_symmetry_space_group_name_Hall 'A 2 -2'
_cell_length_a 4.4502
_cell_length_b 3.8161
_cell_length_c 10.4823
_cell_angle_alpha 90.00
_cell_angle_beta 90.00
_cell_angle_gamma 90.00
loop_
_atom_site_label
_atom_site_fract_x
_atom_site_fract_y
_atom_site_fract_z
Tb1 0.0000 0.0000 0.0000
Pr1 0.5000 0.0000 0.2783
Cu1 0.0000 0.0000 0.7039
Ni1 0.5000 0.0000 0.5658
```

***

No. 7
Structure and theoretical XRD peak list of PrYCuNi (a crystal structure in Alexandria, relaxed with PBE; CuKα).
Kinematic intensities with the Lorentz-polarization factor, no thermal factor.

Peak list (10 most intense, 2θ from 15° to 90°, in order of rising 2θ)
two_theta, d/Å, intensity, (hkl)
26.25, 3.395, 251, 1 0 2
32.20, 2.780, 1000, 1 1 1
33.72, 2.658, 231, 0 0 4
34.60, 2.592, 423, 0 1 3
39.58, 2.277, 240, 1 0 4
40.35, 2.235, 606, 1 1 3
40.91, 2.206, 312, 2 0 0
47.85, 1.901, 196, 0 2 0
54.63, 1.680, 223, 2 1 3
64.74, 1.440, 153, 2 2 0

Cell and atoms:
```
data_PrYCuNi
_symmetry_space_group_name_H-M 'A m m 2'
_symmetry_Int_Tables_number 38
_symmetry_space_group_name_Hall 'A 2 -2'
_cell_length_a 4.4115
_cell_length_b 3.8016
_cell_length_c 10.6335
_cell_angle_alpha 90.00
_cell_angle_beta 90.00
_cell_angle_gamma 90.00
loop_
_atom_site_label
_atom_site_fract_x
_atom_site_fract_y
_atom_site_fract_z
Pr1 0.0000 0.0000 0.0000
Y1 0.5000 0.0000 0.7243
Cu1 0.0000 0.0000 0.2881
Ni1 0.5000 0.0000 0.4246
```

***

No. 8
Structure and theoretical XRD peak list of PrZn2CuNi4 (a crystal structure in Alexandria, relaxed with PBE; CuKα).
Kinematic intensities with the Lorentz-polarization factor, no thermal factor.

Peak list (10 most intense, 2θ from 15° to 90°, in order of rising 2θ)
two_theta, d/Å, intensity, (hkl)
26.27, 3.393, 147, 0 1 2
29.17, 3.061, 115, 1 0 4
31.18, 2.868, 251, 0 1 5
38.84, 2.319, 779, 0 1 8
44.45, 2.038, 1000, 1 1 0
44.91, 2.018, 146, 1 0 10
48.17, 1.889, 170, 0 1 11
60.48, 1.531, 201, 2 0 8
78.08, 1.224, 183, 1 2 8
81.87, 1.177, 152, 3 0 0

Cell and atoms:
```
data_PrZn2CuNi4
_symmetry_space_group_name_H-M 'R -3 m'
_symmetry_Int_Tables_number 166
_symmetry_space_group_name_Hall '-R 3 2"'
_cell_length_a 4.0759
_cell_length_b 4.0759
_cell_length_c 24.6006
_cell_angle_alpha 90.00
_cell_angle_beta 90.00
_cell_angle_gamma 120.00
loop_
_atom_site_label
_atom_site_fract_x
_atom_site_fract_y
_atom_site_fract_z
Pr1 0.0000 0.0000 0.0000
Zn1 0.0000 0.0000 0.2337
Cu1 0.0000 0.0000 0.5000
Ni1 0.0000 0.0000 0.1277
Ni2 0.0000 0.0000 0.4051
```